(1)
The following is a simulated powder X-ray diffraction pattern of KSnF3. It was derived from a PBE-relaxed structure, using Cu Kα (λ = 1.5418 Å).
Intensities are scaled so that the largest is 100.

a = 8.230 Å, b = 10.204 Å, c = 10.502 Å
α = 79.88°, β = 72.31°, γ = 74.39°
Atoms (fractional coordinates):
K (0.043, 0.376, 0.368)
K (0.237, 0.525, 0.990)
K (0.247, 0.010, 0.491)
K (0.450, 0.651, 0.606)
K (0.550, 0.349, 0.394)
K (0.753, 0.990, 0.509)
K (0.763, 0.475, 0.010)
K (0.957, 0.624, 0.632)
Sn (0.041, 0.124, 0.145)
Sn (0.226, 0.253, 0.748)
Sn (0.287, 0.721, 0.261)
Sn (0.472, 0.855, 0.869)
Sn (0.528, 0.145, 0.131)
Sn (0.713, 0.279, 0.739)
Sn (0.774, 0.747, 0.252)
Sn (0.959, 0.876, 0.855)
F (0.046, 0.627, 0.234)
F (0.067, 0.324, 0.070)
F (0.081, 0.862, 0.366)
F (0.116, 0.808, 0.672)
F (0.215, 0.792, 0.911)
F (0.243, 0.277, 0.544)
F (0.244, 0.144, 0.247)
F (0.266, 0.577, 0.428)
F (0.280, 0.443, 0.745)
F (0.439, 0.355, 0.155)
F (0.446, 0.903, 0.674)
F (0.449, 0.794, 0.353)
F (0.551, 0.206, 0.647)
F (0.554, 0.097, 0.326)
F (0.561, 0.645, 0.845)
F (0.720, 0.557, 0.255)
F (0.734, 0.423, 0.572)
F (0.756, 0.856, 0.753)
F (0.757, 0.723, 0.456)
F (0.785, 0.208, 0.089)
F (0.884, 0.192, 0.328)
F (0.919, 0.138, 0.634)
F (0.933, 0.676, 0.930)
F (0.954, 0.373, 0.766)

Main lines, low angle first (2θ from 15° to 90°):
26.7°, rel. 100.0; 26.8°, rel. 65.4; 27.2°, rel. 61.7; 27.5°, rel. 64.4; 27.9°, rel. 57.3; 37.4°, rel. 34.8

(2)
The following is a simulated powder X-ray diffraction pattern of K2SnF6. It was derived from a PBE-relaxed structure, using Cu Kα (λ = 1.5418 Å).
Intensities are scaled so that the largest is 100.

a = 5.973 Å, b = 5.973 Å, c = 4.888 Å
α = 90.00°, β = 90.00°, γ = 120.00°
Atoms (fractional coordinates):
K (0.333, 0.667, 0.320)
K (0.667, 0.333, 0.680)
Sn (0.000, 0.000, 0.000)
F (0.162, 0.324, 0.774)
F (0.162, 0.838, 0.774)
F (0.324, 0.162, 0.226)
F (0.676, 0.838, 0.774)
F (0.838, 0.162, 0.226)
F (0.838, 0.676, 0.226)

Main lines, low angle first (2θ from 15° to 90°):
17.1°, rel. 60.9; 25.1°, rel. 100.0; 29.9°, rel. 39.9; 39.4°, rel. 61.0; 50.3°, rel. 28.9; 51.4°, rel. 26.0

(3)
The following is a simulated powder X-ray diffraction pattern of K2SnF6. It was derived from a PBE-relaxed structure, using Cu Kα (λ = 1.5418 Å).
Intensities are scaled so that the largest is 100.

a = 6.099 Å, b = 6.099 Å, c = 6.099 Å
α = 60.00°, β = 60.00°, γ = 60.00°
Atoms (fractional coordinates):
K (0.250, 0.250, 0.250)
K (0.750, 0.750, 0.750)
Sn (0.000, 0.000, 0.000)
F (0.232, 0.232, 0.768)
F (0.232, 0.768, 0.232)
F (0.232, 0.768, 0.768)
F (0.768, 0.232, 0.232)
F (0.768, 0.232, 0.768)
F (0.768, 0.768, 0.232)

Main lines, low angle first (2θ from 15° to 90°):
17.8°, rel. 100.0; 29.3°, rel. 67.4; 34.5°, rel. 44.1; 41.9°, rel. 45.1; 51.9°, rel. 26.2; 60.7°, rel. 26.0

(4)
The following is a simulated powder X-ray diffraction pattern of KZrSnF7. It was derived from a PBE-relaxed structure, using Cu Kα (λ = 1.5418 Å).
Intensities are scaled so that the largest is 100.

a = 8.543 Å, b = 6.053 Å, c = 12.673 Å
α = 90.00°, β = 90.00°, γ = 90.00°
Atoms (fractional coordinates):
K (0.250, 0.214, 0.250)
K (0.250, 0.786, 0.750)
K (0.750, 0.214, 0.250)
K (0.750, 0.786, 0.750)
Zr (0.000, 0.251, 0.585)
Zr (0.000, 0.749, 0.415)
Zr (0.500, 0.251, 0.915)
Zr (0.500, 0.749, 0.085)
Sn (0.000, 0.235, 0.907)
Sn (0.000, 0.765, 0.093)
Sn (0.500, 0.235, 0.593)
Sn (0.500, 0.765, 0.407)
F (0.000, 0.095, 0.740)
F (0.000, 0.123, 0.084)
F (0.000, 0.126, 0.429)
F (0.000, 0.500, 0.306)
F (0.000, 0.500, 0.694)
F (0.000, 0.874, 0.571)
F (0.000, 0.877, 0.916)
F (0.000, 0.905, 0.260)
F (0.142, 0.500, 0.500)
F (0.233, 0.160, 0.610)
F (0.233, 0.840, 0.390)
F (0.267, 0.160, 0.890)
F (0.267, 0.840, 0.110)
F (0.358, 0.500, 0.000)
F (0.500, 0.095, 0.760)
F (0.500, 0.123, 0.416)
F (0.500, 0.126, 0.071)
F (0.500, 0.500, 0.194)
F (0.500, 0.500, 0.806)
F (0.500, 0.874, 0.929)
F (0.500, 0.877, 0.584)
F (0.500, 0.905, 0.240)
F (0.642, 0.500, 0.000)
F (0.733, 0.160, 0.890)
F (0.733, 0.840, 0.110)
F (0.767, 0.160, 0.610)
F (0.767, 0.840, 0.390)
F (0.858, 0.500, 0.500)

Main lines, low angle first (2θ from 15° to 90°):
16.2°, rel. 43.8; 20.8°, rel. 63.1; 25.7°, rel. 100.0; 26.5°, rel. 54.3; 42.3°, rel. 32.5; 50.1°, rel. 51.6

(5)
The following is a simulated powder X-ray diffraction pattern of KTb3F12. It was derived from a PBE-relaxed structure, using Cu Kα (λ = 1.5418 Å).
Intensities are scaled so that the largest is 100.

a = 6.894 Å, b = 6.894 Å, c = 6.894 Å
α = 108.91°, β = 108.91°, γ = 110.59°
Atoms (fractional coordinates):
K (0.000, 0.000, 0.000)
Tb (0.250, 0.750, 0.500)
Tb (0.500, 0.500, 0.000)
Tb (0.750, 0.250, 0.500)
F (0.013, 0.658, 0.672)
F (0.097, 0.307, 0.753)
F (0.307, 0.554, 0.210)
F (0.342, 0.013, 0.355)
F (0.344, 0.097, 0.790)
F (0.446, 0.656, 0.753)
F (0.554, 0.344, 0.247)
F (0.656, 0.903, 0.210)
F (0.658, 0.987, 0.645)
F (0.693, 0.446, 0.790)
F (0.903, 0.693, 0.247)
F (0.987, 0.342, 0.328)

Main lines, low angle first (2θ from 15° to 90°):
15.8°, rel. 29.0; 22.2°, rel. 100.0; 27.6°, rel. 82.9; 42.5°, rel. 73.6; 45.3°, rel. 22.2; 53.9°, rel. 23.0